Record 1
# LiTl3Cu2Cl6
Simulated PXRD pattern, Cu Kα, 1.54184 Å. Input: the GGA-PBE geometry in Alexandria.

Peak list (6 most intense, 2θ from 10° to 90°, sorted by position)
2θ/deg, I_rel
17.7, 100.0
24.2, 95.8
25.9, 45.4
30.1, 64.1
35.8, 46.6
41.2, 45.2

Cell and atoms:
```
data_LiTl3Cu2Cl6
_chemical_formula_sum 'Li1 Tl3 Cu2 Cl6'
_cell_length_a 7.3525
_cell_length_b 7.3525
_cell_length_c 8.1723
_cell_angle_alpha 90.00
_cell_angle_beta 90.00
_cell_angle_gamma 120.00
_space_group_name_H-M_alt 'P -3 m 1'
_space_group_IT_number 164
_space_group_name_Hall '-P 3 2"'
loop_
_atom_site_label
_atom_site_fract_x
_atom_site_fract_y
_atom_site_fract_z
Li1 0.0000 0.0000 0.0000
Tl1 0.0000 0.0000 0.5000
Tl2 0.3333 0.6667 0.1538
Cu1 0.3333 0.6667 0.8082
Cl1 0.1592 0.3185 0.8021
```

Record 2
# Nd2Zn3GaAu4
Simulated PXRD pattern, Cu Kα, 1.54184 Å. Input: the GGA-PBE geometry in Alexandria.

Peak list (6 most intense, 2θ from 10° to 90°, sorted by position)
2θ/deg, I_rel
30.2, 29.9
32.0, 49.1
33.4, 100.0
41.5, 64.9
44.3, 35.2
46.5, 28.8

Cell and atoms:
```
data_Nd2Zn3GaAu4
_chemical_formula_sum 'Nd2 Zn3 Ga1 Au4'
_cell_length_a 4.3507
_cell_length_b 4.3507
_cell_length_c 10.9375
_cell_angle_alpha 90.00
_cell_angle_beta 90.00
_cell_angle_gamma 90.00
_space_group_name_H-M_alt 'P -4 m 2'
_space_group_IT_number 115
loop_
_space_group_symop_operation_xyz
'x,y,z'
'y,-x,-z'
'-x,-y,z'
'-y,x,-z'
'-x,y,z'
'-y,-x,-z'
'x,-y,z'
'y,x,-z'
loop_
_atom_site_label
_atom_site_fract_x
_atom_site_fract_y
_atom_site_fract_z
Nd1 0.0000 0.5000 0.2429
Zn1 0.0000 0.0000 0.0000
Zn2 0.0000 0.5000 0.6341
Ga1 0.5000 0.5000 0.0000
Au1 0.0000 0.0000 0.5000
Au2 0.0000 0.5000 0.8652
Au3 0.5000 0.5000 0.5000
```

Record 3
# YZr
Simulated PXRD pattern, Cu Kα, 1.54184 Å. Input: the GGA-PBE geometry in Alexandria.

Peak list (6 most intense, 2θ from 10° to 90°, sorted by position)
2θ/deg, I_rel
30.3, 26.4
33.6, 37.7
34.2, 54.4
34.7, 100.0
60.8, 18.9
64.2, 26.9

Cell and atoms:
```
data_YZr
_chemical_formula_sum 'Y2 Zr2'
_cell_length_a 3.3882
_cell_length_b 5.3400
_cell_length_c 6.0258
_cell_angle_alpha 90.00
_cell_angle_beta 90.00
_cell_angle_gamma 90.00
_space_group_name_H-M_alt 'P m m n'
_space_group_IT_number 59
loop_
_space_group_symop_operation_xyz
'x,y,z'
'-x,-y,-z'
'-x+1/2,-y+1/2,z'
'x+1/2,y+1/2,-z'
'x+1/2,-y,-z'
'-x+1/2,y,z'
'-x,y+1/2,-z'
'x,-y+1/2,z'
loop_
_atom_site_label
_atom_site_fract_x
_atom_site_fract_y
_atom_site_fract_z
Y1 0.2500 0.2500 0.1001
Zr1 0.2500 0.7500 0.4272
```